No. 1
Diffraction record for Pr4B4O11F2. The X-ray powder pattern is simulated, not measured: it uses DFT lattice parameters and positions (PBE) and CuKα.
Neutral-atom scattering factors, no anomalous dispersion.

Most intense lines, 10° ≤ 2θ ≤ 80°, in order of rising 2θ:
2θ 19.66, rel. 71; 2θ 25.23, rel. 86; 2θ 28.11, rel. 45; 2θ 29.40, rel. 100; 2θ 29.69, rel. 100; 2θ 32.09, rel. 45; 2θ 37.72, rel. 41; 2θ 45.95, rel. 77

Structure:
abc: 7.4374 7.4374 14.1256
angles: 90.95 90.95 37.39
Sites, in units of the cell vectors:
Pr 0.0339 0.0831 0.3708
Pr 0.0831 0.0339 0.8708
Pr 0.1998 0.2421 0.1282
Pr 0.2421 0.1998 0.6282
Pr 0.7579 0.8002 0.3718
Pr 0.8002 0.7579 0.8718
Pr 0.9169 0.9661 0.1292
Pr 0.9661 0.9169 0.6292
B 0.3571 0.4548 0.4728
B 0.3886 0.4268 0.7849
B 0.4268 0.3886 0.2849
B 0.4548 0.3571 0.9728
B 0.5452 0.6429 0.0272
B 0.5732 0.6114 0.7151
B 0.6114 0.5732 0.2151
B 0.6429 0.5452 0.5272
O 0.0868 0.7536 0.4629
O 0.1233 0.6767 0.2744
O 0.1483 0.5111 0.7427
O 0.2464 0.9132 0.0371
O 0.2882 0.5365 0.8924
O 0.3233 0.8767 0.2256
O 0.3308 0.4442 0.0610
O 0.3580 0.6420 0.7500
O 0.4442 0.3308 0.5610
O 0.4635 0.7118 0.6076
O 0.4889 0.8517 0.7573
O 0.5111 0.1483 0.2427
O 0.5365 0.2882 0.3924
O 0.5558 0.6692 0.4390
O 0.6420 0.3580 0.2500
O 0.6692 0.5558 0.9390
O 0.6767 0.1233 0.7744
O 0.7118 0.4635 0.1076
O 0.7536 0.0868 0.9629
O 0.8517 0.4889 0.2573
O 0.8767 0.3233 0.7256
O 0.9132 0.2464 0.5371
F 0.2077 0.2532 0.4254
F 0.2532 0.2077 0.9254
F 0.7468 0.7923 0.0746
F 0.7923 0.7468 0.5746

---

No. 2
Diffraction record for Na3TmCl6. The X-ray powder pattern is simulated, not measured: it uses DFT lattice parameters and positions (PBE) and CuKα.
Neutral-atom scattering factors, no anomalous dispersion.

Most intense lines, 10° ≤ 2θ ≤ 80°, in order of rising 2θ:
2θ 14.53, rel. 85; 2θ 16.80, rel. 100; 2θ 23.84, rel. 50; 2θ 28.04, rel. 47; 2θ 33.97, rel. 75; 2θ 38.13, rel. 48; 2θ 41.93, rel. 24; 2θ 48.81, rel. 50

Structure:
abc: 7.4639 7.4639 7.4639
angles: 60.00 60.00 60.00
Sites, in units of the cell vectors:
Na 0.0000 0.0000 0.0000
Na 0.2500 0.2500 0.2500
Na 0.7500 0.7500 0.7500
Tm 0.5000 0.5000 0.5000
Cl 0.2554 0.2554 0.7446
Cl 0.2554 0.7446 0.2554
Cl 0.2554 0.7446 0.7446
Cl 0.7446 0.2554 0.2554
Cl 0.7446 0.2554 0.7446
Cl 0.7446 0.7446 0.2554

---

No. 3
Diffraction record for HgS. The X-ray powder pattern is simulated, not measured: it uses DFT lattice parameters and positions (PBE) and CuKα.
Neutral-atom scattering factors, no anomalous dispersion.

Most intense lines, 10° ≤ 2θ ≤ 80°, in order of rising 2θ:
2θ 24.21, rel. 40; 2θ 25.66, rel. 34; 2θ 27.45, rel. 100; 2θ 35.56, rel. 23; 2θ 42.59, rel. 36; 2θ 46.35, rel. 39; 2θ 50.39, rel. 34; 2θ 51.42, rel. 19

Structure:
abc: 4.2454 4.2454 6.9441
angles: 90.00 90.00 120.00
Sites, in units of the cell vectors:
Hg 0.3333 0.6667 0.0000
Hg 0.6667 0.3333 0.5000
S 0.3333 0.6667 0.3752
S 0.6667 0.3333 0.8752

---

No. 4
Diffraction record for MgSi2. The X-ray powder pattern is simulated, not measured: it uses DFT lattice parameters and positions (PBE) and CuKα.
Neutral-atom scattering factors, no anomalous dispersion.

Most intense lines, 10° ≤ 2θ ≤ 80°, in order of rising 2θ:
2θ 18.41, rel. 11; 2θ 38.50, rel. 43; 2θ 38.71, rel. 100; 2θ 38.90, rel. 41; 2θ 39.98, rel. 25; 2θ 42.05, rel. 35; 2θ 52.21, rel. 23; 2θ 59.42, rel. 13

Structure:
abc: 3.5044 5.1445 12.1871
angles: 80.90 81.88 70.67
Sites, in units of the cell vectors:
Mg 0.0000 0.0000 0.0000
Mg 0.0120 0.2049 0.7530
Mg 0.3203 0.1698 0.1883
Mg 0.6564 0.3174 0.3746
Si 0.2854 0.4600 0.9708
Si 0.3132 0.6799 0.6845
Si 0.3670 0.8530 0.4187
Si 0.6278 0.6135 0.1282
Si 0.6909 0.0143 0.5778
Si 0.7250 0.7082 0.8493
Si 0.9817 0.5154 0.5422
Si 0.9971 0.7366 0.2681

---

No. 5
Diffraction record for MnHg3S4. The X-ray powder pattern is simulated, not measured: it uses DFT lattice parameters and positions (PBE) and CuKα.
Neutral-atom scattering factors, no anomalous dispersion.

Most intense lines, 10° ≤ 2θ ≤ 80°, in order of rising 2θ:
2θ 26.06, rel. 100; 2θ 26.17, rel. 32; 2θ 30.21, rel. 41; 2θ 43.18, rel. 36; 2θ 43.32, rel. 34; 2θ 51.17, rel. 47; 2θ 51.32, rel. 15; 2θ 69.09, rel. 13

Structure:
abc: 13.8333 13.8333 13.8333
angles: 17.42 17.42 17.42
Sites, in units of the cell vectors:
Mn 0.0000 0.0000 0.0000
Hg 0.2539 0.2539 0.2539
Hg 0.5010 0.5010 0.5010
Hg 0.7486 0.7486 0.7486
S 0.0588 0.0588 0.0588
S 0.3179 0.3179 0.3179
S 0.5646 0.5646 0.5646
S 0.8120 0.8120 0.8120

---

No. 6
Diffraction record for MgTi4Cu3O12. The X-ray powder pattern is simulated, not measured: it uses DFT lattice parameters and positions (PBE) and CuKα.
Neutral-atom scattering factors, no anomalous dispersion.

Most intense lines, 10° ≤ 2θ ≤ 80°, in order of rising 2θ:
2θ 33.71, rel. 24; 2θ 34.07, rel. 100; 2θ 34.20, rel. 26; 2θ 48.73, rel. 14; 2θ 48.84, rel. 14; 2θ 49.12, rel. 15; 2θ 60.53, rel. 22; 2θ 61.17, rel. 38

Structure:
abc: 6.4233 6.4233 7.4594
angles: 124.93 124.93 70.55
Sites, in units of the cell vectors:
Mg 0.0000 0.0000 0.0000
Ti 0.0480 0.5554 0.1023
Ti 0.0559 0.5394 0.5818
Ti 0.5394 0.0559 0.5818
Ti 0.5554 0.0480 0.1023
Cu 0.0589 0.0589 0.6134
Cu 0.5568 0.5568 0.1057
Cu 0.5679 0.5679 0.6165
O 0.1948 0.5507 0.4232
O 0.2337 0.2337 0.9876
O 0.2381 0.2381 0.5991
O 0.3590 0.7619 0.9357
O 0.3662 0.7568 0.2892
O 0.5507 0.1948 0.4232
O 0.5935 0.9416 0.8188
O 0.7568 0.3662 0.2892
O 0.7619 0.3590 0.9357
O 0.8806 0.8806 0.2399
O 0.8820 0.8820 0.6328
O 0.9416 0.5935 0.8188